No. 1
Diffraction record for Sr6Hg2RhN. The XRD peak list is simulated, not measured: it uses a structure optimized by DFT (PBE) and Cu Kα X-rays.

Top 6 peaks for 10 to 80 degrees two-theta, by angle:
22.78°, I = 27.0; 23.73°, I = 31.1; 27.69°, I = 95.0; 28.48°, I = 28.7; 29.20°, I = 41.0; 32.77°, I = 100.0

Cell and atoms:
Lattice parameters (Å, degrees): 7.5144 7.9754 13.1000 90.00 123.47 90.00
Fractional positions:
Sr 0.1484 0.0135 0.2364
Sr 0.1484 0.4865 0.7364
Sr 0.2200 0.7140 0.0410
Sr 0.2200 0.7860 0.5410
Sr 0.3310 0.1850 0.0410
Sr 0.3310 0.3150 0.5410
Sr 0.6690 0.6850 0.4590
Sr 0.6690 0.8150 0.9590
Sr 0.7800 0.2140 0.4590
Sr 0.7800 0.2860 0.9590
Sr 0.8516 0.5135 0.2636
Sr 0.8516 0.9865 0.7636
Hg 0.2856 0.0767 0.7520
Hg 0.2856 0.4233 0.2520
Hg 0.7144 0.5767 0.7480
Hg 0.7144 0.9233 0.2480
Rh 0.5000 0.0000 0.5000
Rh 0.5000 0.5000 0.0000
N 0.0000 0.0000 0.0000
N 0.0000 0.5000 0.5000

---

No. 2
Diffraction record for Hg4Sb2N3. The XRD peak list is simulated, not measured: it uses a structure optimized by DFT (PBE) and Cu Kα X-rays.

Top 6 peaks for 10 to 80 degrees two-theta, by angle:
25.88°, I = 38.0; 28.57°, I = 97.8; 29.63°, I = 100.0; 35.23°, I = 64.6; 36.18°, I = 49.1; 51.22°, I = 35.8

Cell and atoms:
Lattice parameters (Å, degrees): 11.0977 11.0977 6.2491 90.00 90.00 149.82
Fractional positions:
Hg 0.1162 0.7240 0.0000
Hg 0.1719 0.2720 0.0000
Hg 0.2720 0.1719 0.5000
Hg 0.2760 0.8838 0.5000
Hg 0.7240 0.1162 0.5000
Hg 0.7280 0.8281 0.5000
Hg 0.8281 0.7280 0.0000
Hg 0.8838 0.2760 0.0000
Sb 0.2394 0.5186 0.5000
Sb 0.4814 0.7606 0.0000
Sb 0.5186 0.2394 0.0000
Sb 0.7606 0.4814 0.5000
N 0.0000 0.0000 0.2500
N 0.0000 0.0000 0.7500
N 0.3056 0.6944 0.2500
N 0.3056 0.6944 0.7500
N 0.6944 0.3056 0.2500
N 0.6944 0.3056 0.7500

---

No. 3
Diffraction record for Sm2HgN. The XRD peak list is simulated, not measured: it uses a structure optimized by DFT (PBE) and Cu Kα X-rays.

Top 6 peaks for 10 to 80 degrees two-theta, by angle:
31.15°, I = 87.6; 32.96°, I = 100.0; 34.33°, I = 47.3; 35.44°, I = 51.7; 50.17°, I = 32.0; 62.59°, I = 37.3

Cell and atoms:
Lattice parameters (Å, degrees): 9.8229 9.8229 5.0651 90.00 90.00 159.21
Fractional positions:
Sm 0.1089 0.8911 0.7500
Sm 0.2889 0.7111 0.7500
Sm 0.7111 0.2889 0.2500
Sm 0.8911 0.1089 0.2500
Hg 0.4555 0.5445 0.7500
Hg 0.5445 0.4555 0.2500
N 0.3015 0.6985 0.2500
N 0.6985 0.3015 0.7500

---

No. 4
Diffraction record for TaHgTe2N. The XRD peak list is simulated, not measured: it uses a structure optimized by DFT (PBE) and Cu Kα X-rays.

Top 6 peaks for 10 to 80 degrees two-theta, by angle:
27.71°, I = 91.7; 31.84°, I = 100.0; 32.04°, I = 38.8; 42.71°, I = 59.2; 45.65°, I = 36.9; 57.23°, I = 37.6

Cell and atoms:
Lattice parameters (Å, degrees): 5.6205 5.6205 3.9273 90.00 90.00 90.00
Fractional positions:
Ta 0.0000 0.0000 0.0000
Hg 0.5000 0.5000 0.5000
Te 0.0000 0.5000 0.0000
Te 0.5000 0.0000 0.0000
N 0.0000 0.0000 0.5000

---

No. 5
Diffraction record for Tb6Hg3N. The XRD peak list is simulated, not measured: it uses a structure optimized by DFT (PBE) and Cu Kα X-rays.

Top 6 peaks for 10 to 80 degrees two-theta, by angle:
27.99°, I = 56.2; 29.03°, I = 48.4; 31.14°, I = 67.7; 31.58°, I = 100.0; 35.76°, I = 46.0; 37.29°, I = 44.3

Cell and atoms:
Lattice parameters (Å, degrees): 6.5305 7.9940 11.5802 90.00 119.82 90.00
Fractional positions:
Tb 0.0729 0.0502 0.2235
Tb 0.0729 0.4498 0.7235
Tb 0.1838 0.7221 0.0646
Tb 0.1838 0.7779 0.5646
Tb 0.3715 0.1452 0.0523
Tb 0.3715 0.3548 0.5523
Tb 0.6285 0.6452 0.4477
Tb 0.6285 0.8548 0.9477
Tb 0.8162 0.2221 0.4354
Tb 0.8162 0.2779 0.9354
Tb 0.9271 0.5502 0.2765
Tb 0.9271 0.9498 0.7765
Hg 0.3156 0.1133 0.7377
Hg 0.3156 0.3867 0.2377
Hg 0.5000 0.0000 0.5000
Hg 0.5000 0.5000 0.0000
Hg 0.6844 0.6133 0.7623
Hg 0.6844 0.8867 0.2623
N 0.0000 0.0000 0.0000
N 0.0000 0.5000 0.5000

---

No. 6
Diffraction record for Tb6Hg2N. The XRD peak list is simulated, not measured: it uses a structure optimized by DFT (PBE) and Cu Kα X-rays.

Top 6 peaks for 10 to 80 degrees two-theta, by angle:
30.36°, I = 25.2; 31.76°, I = 78.8; 31.83°, I = 100.0; 36.80°, I = 64.1; 37.04°, I = 23.7; 53.13°, I = 26.5

Cell and atoms:
Lattice parameters (Å, degrees): 6.9194 6.8978 11.9082 90.00 125.39 90.00
Fractional positions:
Tb 0.1640 0.9996 0.2425
Tb 0.1640 0.5004 0.7425
Tb 0.2833 0.2460 0.0406
Tb 0.2833 0.2540 0.5406
Tb 0.2854 0.7441 0.5407
Tb 0.2854 0.7559 0.0407
Tb 0.7146 0.2441 0.9593
Tb 0.7146 0.2559 0.4593
Tb 0.7167 0.7460 0.4594
Tb 0.7167 0.7540 0.9594
Tb 0.8360 0.0004 0.7575
Tb 0.8360 0.4996 0.2575
Hg 0.2567 0.5013 0.2492
Hg 0.2567 0.9987 0.7492
Hg 0.7433 0.0013 0.2508
Hg 0.7433 0.4987 0.7508
N 0.0000 0.0000 0.0000
N 0.0000 0.5000 0.5000

---

No. 7
Diffraction record for Hg2TeN4. The XRD peak list is simulated, not measured: it uses a structure optimized by DFT (PBE) and Cu Kα X-rays.

Top 6 peaks for 10 to 80 degrees two-theta, by angle:
30.94°, I = 100.0; 44.24°, I = 17.1; 54.98°, I = 25.8; 55.16°, I = 11.2; 64.56°, I = 8.2; 73.10°, I = 12.3

Cell and atoms:
Lattice parameters (Å, degrees): 6.7581 6.7581 6.7581 144.73 144.73 50.74
Fractional positions:
Hg 0.1506 0.1506 0.0000
Hg 0.8494 0.8494 0.0000
Te 0.5000 0.5000 0.0000
N 0.0000 0.5000 0.5000
N 0.3319 0.3319 0.0000
N 0.5000 0.0000 0.5000
N 0.6681 0.6681 0.0000

---

No. 8
Diffraction record for HgTeN2. The XRD peak list is simulated, not measured: it uses a structure optimized by DFT (PBE) and Cu Kα X-rays.

Top 6 peaks for 10 to 80 degrees two-theta, by angle:
14.65°, I = 37.4; 20.25°, I = 31.1; 25.30°, I = 100.0; 26.29°, I = 37.8; 30.23°, I = 49.9; 35.39°, I = 44.1

Cell and atoms:
Lattice parameters (Å, degrees): 12.3713 12.3713 5.0880 90.59 90.59 155.58
Fractional positions:
Hg 0.0000 0.5000 0.0000
Hg 0.5000 0.0000 0.5000
Te 0.1707 0.8293 0.7500
Te 0.8293 0.1707 0.2500
N 0.3563 0.4773 0.8141
N 0.4773 0.3563 0.3141
N 0.5227 0.6437 0.6859
N 0.6437 0.5227 0.1859

---

Repeat the second record exactly.
Diffraction record for Hg4Sb2N3. The XRD peak list is simulated, not measured: it uses a structure optimized by DFT (PBE) and Cu Kα X-rays.

Top 6 peaks for 10 to 80 degrees two-theta, by angle:
25.88°, I = 38.0; 28.57°, I = 97.8; 29.63°, I = 100.0; 35.23°, I = 64.6; 36.18°, I = 49.1; 51.22°, I = 35.8

Cell and atoms:
Lattice parameters (Å, degrees): 11.0977 11.0977 6.2491 90.00 90.00 149.82
Fractional positions:
Hg 0.1162 0.7240 0.0000
Hg 0.1719 0.2720 0.0000
Hg 0.2720 0.1719 0.5000
Hg 0.2760 0.8838 0.5000
Hg 0.7240 0.1162 0.5000
Hg 0.7280 0.8281 0.5000
Hg 0.8281 0.7280 0.0000
Hg 0.8838 0.2760 0.0000
Sb 0.2394 0.5186 0.5000
Sb 0.4814 0.7606 0.0000
Sb 0.5186 0.2394 0.0000
Sb 0.7606 0.4814 0.5000
N 0.0000 0.0000 0.2500
N 0.0000 0.0000 0.7500
N 0.3056 0.6944 0.2500
N 0.3056 0.6944 0.7500
N 0.6944 0.3056 0.2500
N 0.6944 0.3056 0.7500